Starting from a PBE+U-relaxed structure, the X-ray powder pattern of CdCuMo2O8 was simulated for copper Kα.

```
data_CdCuMo2O8
_chemical_formula_sum 'Cd2 Cu2 Mo4 O16'
_symmetry_space_group_name_H-M 'I -4 m 2'
_symmetry_Int_Tables_number 119
_symmetry_space_group_name_Hall 'I -4 -2'
_cell_length_a 6.928
_cell_length_b 6.928
_cell_length_c 7.041
_cell_angle_alpha 90.00
_cell_angle_beta 90.00
_cell_angle_gamma 90.00
loop_
_atom_site_label
_atom_site_fract_x
_atom_site_fract_y
_atom_site_fract_z
_atom_site_occupancy
Cd1 0.000 0.000 0.000 1
Cu1 0.000 0.500 0.250 1
Mo1 0.000 0.000 0.500 1
Mo2 0.000 0.500 0.750 1
O1 0.000 0.212 0.349 1
O2 0.000 0.295 0.903 1
```

Most intense lines, 2θ = 10–90°, low angle first:
- 25.72°, d = 3.464 Å, I 93, hkl 2 0 0
- 31.29°, d = 2.859 Å, I 100, hkl 1 1 2
- 36.69°, d = 2.450 Å, I 17, hkl 2 2 0
- 48.97°, d = 1.860 Å, I 61, hkl 3 1 2
- 52.86°, d = 1.732 Å, I 17, hkl 4 0 0
- 58.85°, d = 1.569 Å, I 16, hkl 2 0 4
- 59.69°, d = 1.549 Å, I 14, hkl 4 2 0
- 62.72°, d = 1.481 Å, I 15, hkl 3 3 2
- 65.28°, d = 1.429 Å, I 17, hkl 2 2 4
- 74.91°, d = 1.268 Å, I 14, hkl 5 1 2